(1)
Diffraction record for KYMnWO6. The X-ray diffraction stick pattern is simulated, not measured: it uses a cell relaxed with PBE+U and Cu Kα (weighted mean of Kα1 and Kα2).
Kinematic intensities with the Lorentz-polarization factor, no thermal factor.

Main lines, low angle first (2θ = 10–80°):
2theta	d_spacing	I (rel.)
10.66	8.297	20
18.82	4.715	38
19.14	4.638	20
22.30	3.986	28
30.98	2.886	68
31.24	2.863	100
32.26	2.775	32
43.64	2.074	21
45.51	1.993	35
55.59	1.653	19

Structural model:
```
data_KYMnWO6
_chemical_formula_sum 'K2 Y2 Mn2 W2 O12'
_symmetry_space_group_name_H-M 'P 1 21 1'
_symmetry_Int_Tables_number 4
_cell_length_a 5.550
_cell_length_b 5.730
_cell_length_c 8.297
_cell_angle_alpha 90.00
_cell_angle_beta 90.66
_cell_angle_gamma 90.00
loop_
_symmetry_equiv_pos_as_xyz
'x,y,z'
'-x,y+1/2,-z'
loop_
_atom_site_label
_atom_site_type_symbol
_atom_site_fract_x
_atom_site_fract_y
_atom_site_fract_z
K1 K 0.246 0.000 0.004
Y1 Y 0.258 0.089 0.502
Mn1 Mn 0.251 0.532 0.748
W1 W 0.235 0.521 0.256
O1 O 0.055 0.198 0.753
O2 O 0.074 0.222 0.244
O3 O 0.144 0.482 0.496
O4 O 0.290 0.532 0.033
O5 O 0.435 0.794 0.323
O6 O 0.474 0.828 0.675
```

***

(2)
Diffraction record for Li7Mn5O12. The X-ray diffraction stick pattern is simulated, not measured: it uses a cell relaxed with PBE+U and Cu Kα (weighted mean of Kα1 and Kα2).
Kinematic intensities with the Lorentz-polarization factor, no thermal factor.

Main lines, low angle first (2θ = 10–80°):
2theta	d_spacing	I (rel.)
18.29	4.851	100
34.01	2.636	16
36.30	2.475	23
40.80	2.212	34
44.21	2.049	28
44.40	2.040	27
61.64	1.505	8
61.72	1.503	16
62.09	1.495	8
64.91	1.437	8

Structural model:
```
data_Li7Mn5O12
_chemical_formula_sum 'Li7 Mn5 O12'
_symmetry_space_group_name_H-M 'P 1'
_symmetry_Int_Tables_number 1
_cell_length_a 5.083
_cell_length_b 6.038
_cell_length_c 7.818
_cell_angle_alpha 104.28
_cell_angle_beta 97.38
_cell_angle_gamma 103.28
loop_
_symmetry_equiv_pos_as_xyz
'x,y,z'
loop_
_atom_site_label
_atom_site_type_symbol
_atom_site_fract_x
_atom_site_fract_y
_atom_site_fract_z
Li1 Li 0.000 0.000 0.000
Li2 Li 0.003 0.160 0.677
Li3 Li 0.012 0.842 0.324
Li4 Li 0.020 0.492 0.012
Li5 Li 0.491 0.402 0.169
Li6 Li 0.977 0.643 0.678
Li7 Li 0.981 0.320 0.332
Mn1 Mn 0.493 0.567 0.844
Mn2 Mn 0.496 0.078 0.841
Mn3 Mn 0.500 0.909 0.170
Mn4 Mn 0.501 0.743 0.499
Mn5 Mn 0.502 0.251 0.501
O1 O 0.255 0.266 0.917
O2 O 0.262 0.772 0.933
O3 O 0.267 0.444 0.593
O4 O 0.274 0.116 0.266
O5 O 0.285 0.656 0.258
O6 O 0.293 0.980 0.582
O7 O 0.712 0.160 0.085
O8 O 0.714 0.513 0.434
O9 O 0.726 0.706 0.083
O10 O 0.726 0.873 0.741
O11 O 0.730 0.374 0.745
O12 O 0.732 0.048 0.408
```

***

(3)
Diffraction record for K3CoPCO7. The X-ray diffraction stick pattern is simulated, not measured: it uses a cell relaxed with PBE+U and Cu Kα (weighted mean of Kα1 and Kα2).
Kinematic intensities with the Lorentz-polarization factor, no thermal factor.

Main lines, low angle first (2θ = 10–80°):
2theta	d_spacing	I (rel.)
18.25	4.861	15
25.49	3.495	32
27.54	3.239	15
31.53	2.838	96
31.71	2.822	100
32.17	2.782	43
42.75	2.115	36
45.45	1.995	18
52.35	1.748	22
56.84	1.620	18

Structural model:
```
data_K3CoPCO7
_chemical_formula_sum 'K12 Co4 P4 C4 O28'
_symmetry_space_group_name_H-M 'P 1'
_symmetry_Int_Tables_number 1
_cell_length_a 5.638
_cell_length_b 9.597
_cell_length_c 13.978
_cell_angle_alpha 90.07
_cell_angle_beta 90.03
_cell_angle_gamma 90.01
loop_
_symmetry_equiv_pos_as_xyz
'x,y,z'
loop_
_atom_site_label
_atom_site_type_symbol
_atom_site_fract_x
_atom_site_fract_y
_atom_site_fract_z
K1 K 0.000 0.000 0.000
K2 K 0.000 0.002 0.240
K3 K 0.001 0.001 0.739
K4 K 0.003 0.001 0.501
K5 K 0.486 0.426 0.250
K6 K 0.488 0.427 0.751
K7 K 0.488 0.428 0.989
K8 K 0.490 0.425 0.489
K9 K 0.501 0.785 0.620
K10 K 0.503 0.786 0.121
K11 K 0.987 0.643 0.870
K12 K 0.988 0.642 0.370
Co1 Co 0.507 0.067 0.371
Co2 Co 0.507 0.067 0.869
Co3 Co 0.980 0.359 0.116
Co4 Co 0.984 0.361 0.620
P1 P 0.011 0.293 0.371
P2 P 0.013 0.293 0.870
P3 P 0.477 0.134 0.621
P4 P 0.477 0.135 0.120
C1 C 0.001 0.629 0.119
C2 C 0.001 0.629 0.620
C3 C 0.487 0.799 0.870
C4 C 0.489 0.799 0.370
O1 O 0.005 0.763 0.620
O2 O 0.007 0.763 0.120
O3 O 0.195 0.553 0.121
O4 O 0.196 0.555 0.621
O5 O 0.223 0.199 0.620
O6 O 0.223 0.202 0.120
O7 O 0.264 0.226 0.369
O8 O 0.266 0.228 0.872
O9 O 0.292 0.874 0.867
O10 O 0.295 0.874 0.373
O11 O 0.482 0.665 0.870
O12 O 0.484 0.665 0.371
O13 O 0.504 0.041 0.030
O14 O 0.504 0.042 0.211
O15 O 0.505 0.040 0.711
O16 O 0.507 0.040 0.530
O17 O 0.666 0.252 0.621
O18 O 0.666 0.253 0.120
O19 O 0.687 0.868 0.873
O20 O 0.689 0.867 0.366
O21 O 0.799 0.561 0.117
O22 O 0.801 0.560 0.619
O23 O 0.822 0.175 0.372
O24 O 0.824 0.175 0.869
O25 O 0.980 0.387 0.281
O26 O 0.982 0.388 0.960
O27 O 0.987 0.386 0.462
O28 O 0.988 0.387 0.779
```

***

(4)
Diffraction record for LiFeF4. The X-ray diffraction stick pattern is simulated, not measured: it uses a cell relaxed with PBE+U and Cu Kα (weighted mean of Kα1 and Kα2).
Kinematic intensities with the Lorentz-polarization factor, no thermal factor.

Main lines, low angle first (2θ = 10–80°):
2theta	d_spacing	I (rel.)
19.02	4.667	100
27.87	3.201	46
32.89	2.723	29
38.58	2.333	18
42.20	2.141	35
44.48	2.037	30
52.57	1.741	34
53.31	1.718	13
57.58	1.601	15
67.93	1.380	12

Structural model:
```
data_LiFeF4
_chemical_formula_sum 'Li4 Fe4 F16'
_symmetry_space_group_name_H-M 'I 41/a m d'
_symmetry_Int_Tables_number 141
_cell_length_a 6.403
_cell_length_b 6.403
_cell_length_c 6.816
_cell_angle_alpha 90.00
_cell_angle_beta 90.00
_cell_angle_gamma 90.00
loop_
_symmetry_equiv_pos_as_xyz
'x,y,z'
'-x,-y,-z'
'-y+1/4,x+3/4,z+1/4'
'y+1/4,-x+3/4,-z+1/4'
'-x+1/2,-y,z+1/2'
'x+1/2,y,-z+1/2'
'y+1/4,-x+1/4,z+3/4'
'-y+1/4,x+1/4,-z+3/4'
'x,-y,-z'
'-x,y,z'
'-y+1/4,-x+1/4,-z+3/4'
'y+1/4,x+1/4,z+3/4'
'-x+1/2,y,-z+1/2'
'x+1/2,-y,z+1/2'
'y+1/4,x+3/4,-z+1/4'
'-y+1/4,-x+3/4,z+1/4'
'x+1/2,y+1/2,z+1/2'
'-x+1/2,-y+1/2,-z+1/2'
'-y+3/4,x+1/4,z+3/4'
'y+3/4,-x+1/4,-z+3/4'
'-x,-y+1/2,z'
'x,y+1/2,-z'
'y+3/4,-x+3/4,z+1/4'
'-y+3/4,x+3/4,-z+1/4'
'x+1/2,-y+1/2,-z+1/2'
'-x+1/2,y+1/2,z+1/2'
'-y+3/4,-x+3/4,-z+1/4'
'y+3/4,x+3/4,z+1/4'
'-x,y+1/2,-z'
'x,-y+1/2,z'
'y+3/4,x+1/4,-z+3/4'
'-y+3/4,-x+1/4,z+3/4'
loop_
_atom_site_label
_atom_site_type_symbol
_atom_site_fract_x
_atom_site_fract_y
_atom_site_fract_z
Li1 Li 0.000 0.250 0.375
Fe1 Fe 0.000 0.250 0.875
F1 F 0.000 0.042 0.183
```

***

What did the second record say?
Diffraction record for Li7Mn5O12. The X-ray diffraction stick pattern is simulated, not measured: it uses a cell relaxed with PBE+U and Cu Kα (weighted mean of Kα1 and Kα2).
Kinematic intensities with the Lorentz-polarization factor, no thermal factor.

Main lines, low angle first (2θ = 10–80°):
2theta	d_spacing	I (rel.)
18.29	4.851	100
34.01	2.636	16
36.30	2.475	23
40.80	2.212	34
44.21	2.049	28
44.40	2.040	27
61.64	1.505	8
61.72	1.503	16
62.09	1.495	8
64.91	1.437	8

Structural model:
```
data_Li7Mn5O12
_chemical_formula_sum 'Li7 Mn5 O12'
_symmetry_space_group_name_H-M 'P 1'
_symmetry_Int_Tables_number 1
_cell_length_a 5.083
_cell_length_b 6.038
_cell_length_c 7.818
_cell_angle_alpha 104.28
_cell_angle_beta 97.38
_cell_angle_gamma 103.28
loop_
_symmetry_equiv_pos_as_xyz
'x,y,z'
loop_
_atom_site_label
_atom_site_type_symbol
_atom_site_fract_x
_atom_site_fract_y
_atom_site_fract_z
Li1 Li 0.000 0.000 0.000
Li2 Li 0.003 0.160 0.677
Li3 Li 0.012 0.842 0.324
Li4 Li 0.020 0.492 0.012
Li5 Li 0.491 0.402 0.169
Li6 Li 0.977 0.643 0.678
Li7 Li 0.981 0.320 0.332
Mn1 Mn 0.493 0.567 0.844
Mn2 Mn 0.496 0.078 0.841
Mn3 Mn 0.500 0.909 0.170
Mn4 Mn 0.501 0.743 0.499
Mn5 Mn 0.502 0.251 0.501
O1 O 0.255 0.266 0.917
O2 O 0.262 0.772 0.933
O3 O 0.267 0.444 0.593
O4 O 0.274 0.116 0.266
O5 O 0.285 0.656 0.258
O6 O 0.293 0.980 0.582
O7 O 0.712 0.160 0.085
O8 O 0.714 0.513 0.434
O9 O 0.726 0.706 0.083
O10 O 0.726 0.873 0.741
O11 O 0.730 0.374 0.745
O12 O 0.732 0.048 0.408
```